LaHo4Er: simulated X-ray diffraction stick pattern (Cu Kα X-rays), based on the PBE geometry in Alexandria.

Structural model:
Cell lengths 6.5934, 6.5934, 6.5934 Å; angles 60.00, 60.00, 60.00 degrees
Fractional coordinates of all 6 atoms:
La 0.0000 0.0000 0.0000
Ho 0.3756 0.3756 0.3756
Ho 0.3756 0.3756 0.8733
Ho 0.3756 0.8733 0.3756
Ho 0.8733 0.3756 0.3756
Er 0.7500 0.7500 0.7500

The 10 most intense peaks (2θ = 10–90°), low angle first:
2θ (°)  d/Å  I (rel.)
16.47  5.384  7
27.05  3.297  24
31.83  2.811  100
33.29  2.692  43
47.79  1.903  10
50.88  1.795  36
55.77  1.648  32
65.66  1.422  13
66.52  1.406  18
78.85  1.214  22

***

La12HoEr2: simulated X-ray diffraction stick pattern (Cu Kα X-rays), based on the PBE geometry in Alexandria.

Structural model:
Cell lengths 6.6060, 6.6060, 26.0007 Å; angles 90.00, 90.00, 90.00 degrees
Fractional coordinates of all 30 atoms:
La 0.0714 0.5714 0.1128
La 0.0714 0.9286 0.8872
La 0.0817 0.5817 0.4376
La 0.0817 0.9183 0.5624
La 0.2500 0.2500 0.2151
La 0.2500 0.2500 0.3365
La 0.2500 0.2500 0.6635
La 0.2500 0.2500 0.7849
La 0.4183 0.5817 0.5624
La 0.4183 0.9183 0.4376
La 0.4286 0.5714 0.8872
La 0.4286 0.9286 0.1128
La 0.5714 0.0714 0.8872
La 0.5714 0.4286 0.1128
La 0.5817 0.0817 0.5624
La 0.5817 0.4183 0.4376
La 0.7500 0.7500 0.2151
La 0.7500 0.7500 0.3365
La 0.7500 0.7500 0.6635
La 0.7500 0.7500 0.7849
La 0.9183 0.0817 0.4376
La 0.9183 0.4183 0.5624
La 0.9286 0.0714 0.1128
La 0.9286 0.4286 0.8872
Ho 0.2500 0.7500 0.0000
Ho 0.7500 0.2500 0.0000
Er 0.2500 0.7500 0.2730
Er 0.2500 0.7500 0.7270
Er 0.7500 0.2500 0.2730
Er 0.7500 0.2500 0.7270

The 10 most intense peaks (2θ = 10–90°), low angle first:
2θ (°)  d/Å  I (rel.)
20.20  4.396  29
27.87  3.201  74
28.93  3.086  53
30.39  2.941  92
30.75  2.907  100
30.96  2.889  48
32.01  2.796  90
36.82  2.441  47
38.55  2.336  50
54.18  1.693  51